The following is a simulated X-ray diffraction stick pattern of Na2Li2CoTeO6. It was derived from DFT lattice parameters and positions (PBE+U), using Cu Ka.
Neutral-atom scattering factors, no anomalous dispersion.

Structure:
```
Na2Li2CoTeO6
1.0
2.7023 -4.6432 0.0000
2.7023 4.6432 0.0000
-1.5471 0.0000 5.0368
Na Li Co Te O
2 2 1 1 6
direct
0.0000 0.0000 0.0000
0.8443 0.1557 0.5000
0.3447 0.6553 0.0000
0.6585 0.3415 0.0000
0.1778 0.8222 0.5000
0.5115 0.4885 0.5000
0.1650 0.4572 0.2722
0.2935 0.2463 0.7242
0.4321 0.1189 0.2730
0.5428 0.8350 0.7278
0.7537 0.7065 0.2758
0.8811 0.5679 0.7270
```

Principal peaks in the range 2θ = 15–90°, by intensity:
17.61°, rel. 100.0; 40.74°, rel. 74.5; 22.83°, rel. 36.7; 19.11°, rel. 31.6; 42.12°, rel. 31.3; 19.66°, rel. 30.7; 33.76°, rel. 28.6; 35.77°, rel. 20.9; 60.65°, rel. 18.5; 34.04°, rel. 18.5; 59.42°, rel. 18.4; 29.77°, rel. 15.6